# 1
K3Tl4Sb2Pd2: computed powder diffraction line list (λ = 1.5418 Å (Cu Kα)), based on a DFT-relaxed cell (GGA-PBE, Alexandria).
Neutral-atom scattering factors, no anomalous dispersion.

Atomic structure:
```
data_K3Tl4Sb2Pd2
_space_group_name_H-M_alt 'P -3 m 1'
_space_group_IT_number 164
_space_group_name_Hall '-P 3 2"'
_cell_length_a 4.7900
_cell_length_b 4.7900
_cell_length_c 18.9017
_cell_angle_alpha 90.00
_cell_angle_beta 90.00
_cell_angle_gamma 120.00
loop_
_atom_site_label
_atom_site_fract_x
_atom_site_fract_y
_atom_site_fract_z
_atom_site_occupancy
K1 0.0000 0.0000 0.0000 1
K2 0.0000 0.0000 0.2972 1
Tl1 0.3333 0.6667 0.4344 1
Tl2 0.3333 0.6667 0.8835 1
Sb1 0.3333 0.6667 0.1750 1
Pd1 0.3333 0.6667 0.5830 1
```

Principal peaks in the range 10 to 90 degrees two-theta, in order of falling intensity:
- hkl 1 1 0, 37.55°, intensity 100.0
- hkl 1 0 4, 28.63°, intensity 74.4
- hkl 1 0 3, 25.71°, intensity 56.5
- hkl 1 0 0, 21.42°, intensity 55.1
- hkl 1 0 7, 39.83°, intensity 51.1
- hkl 0 0 3, 14.06°, intensity 46.5
- hkl 1 1 7, 50.97°, intensity 34.1
- hkl 0 1 2, 23.42°, intensity 33.8
- hkl 0 0 4, 18.78°, intensity 27.8
- hkl 1 1 3, 40.29°, intensity 22.0
- hkl 1 1 4, 42.31°, intensity 21.7
- hkl 2 1 7, 69.30°, intensity 20.3

# 2
KTlSbPd2: computed powder diffraction line list (λ = 1.5418 Å (Cu Kα)), based on a DFT-relaxed cell (GGA-PBE, Alexandria).
Neutral-atom scattering factors, no anomalous dispersion.

Atomic structure:
```
data_KTlSbPd2
_space_group_name_H-M_alt 'P 1 21/m 1'
_space_group_IT_number 11
_cell_length_a 7.548
_cell_length_b 4.808
_cell_length_c 7.595
_cell_angle_alpha 90.00
_cell_angle_beta 97.66
_cell_angle_gamma 90.00
loop_
_space_group_symop_operation_xyz
'x,y,z'
'-x,-y,-z'
'-x,y+1/2,-z'
'x,-y+1/2,z'
loop_
_atom_site_label
_atom_site_fract_x
_atom_site_fract_y
_atom_site_fract_z
_atom_site_occupancy
K1 0.133 0.250 0.355 1
Tl1 0.207 0.750 0.005 1
Sb1 0.376 0.750 0.628 1
Pd1 0.417 0.250 0.056 1
Pd2 0.488 0.750 0.296 1
```

Principal peaks in the range 10 to 90 degrees two-theta, in order of falling intensity:
- hkl 1 0 0, 11.80°, intensity 100.0
- hkl 2 1 1, 33.74°, intensity 46.2
- hkl 0 2 0, 37.41°, intensity 30.2
- hkl 1 1 0, 21.98°, intensity 29.3
- hkl 2 0 -2, 31.39°, intensity 26.2
- hkl 0 0 3, 35.79°, intensity 21.8
- hkl 3 1 1, 43.98°, intensity 21.6
- hkl 1 1 3, 43.81°, intensity 19.7
- hkl 2 1 -2, 36.66°, intensity 18.2
- hkl 2 1 -1, 31.35°, intensity 16.6
- hkl 2 2 -2, 49.62°, intensity 14.3
- hkl 0 2 3, 52.74°, intensity 14.2

# 3
K2PdSe10: computed powder diffraction line list (λ = 1.5418 Å (Cu Kα)), based on a DFT-relaxed cell (GGA-PBE, Alexandria).
Neutral-atom scattering factors, no anomalous dispersion.

Atomic structure:
```
data_K2PdSe10
_space_group_name_H-M_alt 'I -4 2 d'
_space_group_IT_number 122
_space_group_name_Hall 'I -4 2bw'
_cell_length_a 16.453
_cell_length_b 16.453
_cell_length_c 12.520
_cell_angle_alpha 90.00
_cell_angle_beta 90.00
_cell_angle_gamma 90.00
loop_
_atom_site_label
_atom_site_fract_x
_atom_site_fract_y
_atom_site_fract_z
_atom_site_occupancy
K1 0.092 0.105 0.252 1
Pd1 0.000 0.000 0.000 1
Pd2 0.000 0.000 0.500 1
Se1 0.007 0.150 0.009 1
Se2 0.041 0.238 0.530 1
Se3 0.060 0.639 0.759 1
Se4 0.136 0.189 0.942 1
Se5 0.184 0.734 0.335 1
```

Principal peaks in the range 10 to 90 degrees two-theta, in order of falling intensity:
- hkl 1 1 2, 16.08°, intensity 100.0
- hkl 4 3 1, 28.06°, intensity 39.1
- hkl 5 1 2, 31.19°, intensity 33.9
- hkl 0 0 4, 28.52°, intensity 21.9
- hkl 2 0 4, 30.56°, intensity 20.3
- hkl 6 2 2, 37.42°, intensity 16.2
- hkl 3 0 1, 17.66°, intensity 15.7
- hkl 8 2 0, 45.50°, intensity 14.7
- hkl 7 1 2, 41.40°, intensity 12.3
- hkl 3 2 1, 20.72°, intensity 12.1
- hkl 5 4 1, 35.67°, intensity 11.9
- hkl 6 1 1, 33.91°, intensity 11.3

# 4
K2Pd3Se2: computed powder diffraction line list (λ = 1.5418 Å (Cu Kα)), based on a DFT-relaxed cell (GGA-PBE, Alexandria).
Neutral-atom scattering factors, no anomalous dispersion.

Atomic structure:
```
data_K2Pd3Se2
_space_group_name_H-M_alt 'F d d d'
_space_group_IT_number 70
_cell_length_a 8.559
_cell_length_b 10.595
_cell_length_c 39.555
_cell_angle_alpha 90.00
_cell_angle_beta 90.00
_cell_angle_gamma 90.00
loop_
_space_group_symop_operation_xyz
'x,y,z'
'-x,-y,-z'
'-x+1/4,-y+1/4,z'
'x+1/4,y+1/4,-z'
'x,-y+1/4,-z+1/4'
'-x,y+1/4,z+1/4'
'-x+1/4,y,-z+1/4'
'x+1/4,-y,z+1/4'
'x,y+1/2,z+1/2'
'-x,-y+1/2,-z+1/2'
'-x+1/4,-y+3/4,z+1/2'
'x+1/4,y+3/4,-z+1/2'
'x,-y+3/4,-z+3/4'
'-x,y+3/4,z+3/4'
'-x+1/4,y+1/2,-z+3/4'
'x+1/4,-y+1/2,z+3/4'
'x+1/2,y,z+1/2'
'-x+1/2,-y,-z+1/2'
'-x+3/4,-y+1/4,z+1/2'
'x+3/4,y+1/4,-z+1/2'
'x+1/2,-y+1/4,-z+3/4'
'-x+1/2,y+1/4,z+3/4'
'-x+3/4,y,-z+3/4'
'x+3/4,-y,z+3/4'
'x+1/2,y+1/2,z'
'-x+1/2,-y+1/2,-z'
'-x+3/4,-y+3/4,z'
'x+3/4,y+3/4,-z'
'x+1/2,-y+3/4,-z+1/4'
'-x+1/2,y+3/4,z+1/4'
'-x+3/4,y+1/2,-z+1/4'
'x+3/4,-y+1/2,z+1/4'
loop_
_atom_site_label
_atom_site_fract_x
_atom_site_fract_y
_atom_site_fract_z
_atom_site_occupancy
K1 0.106 0.356 0.067 1
Pd1 0.000 0.000 0.000 1
Pd2 0.078 0.004 0.749 1
Se1 0.094 0.356 0.955 1
```

Principal peaks in the range 10 to 90 degrees two-theta, in order of falling intensity:
- hkl 0 4 8, 38.56°, intensity 100.0
- hkl 0 0 16, 36.30°, intensity 66.5
- hkl 0 4 12, 43.85°, intensity 48.0
- hkl 2 2 0, 26.78°, intensity 40.3
- hkl 3 1 11, 41.27°, intensity 40.1
- hkl 0 4 4, 35.07°, intensity 31.7
- hkl 2 2 8, 32.42°, intensity 31.6
- hkl 3 5 1, 53.97°, intensity 27.9
- hkl 3 3 5, 42.29°, intensity 24.6
- hkl 0 0 8, 17.94°, intensity 24.3
- hkl 6 2 2, 68.27°, intensity 19.7
- hkl 3 3 1, 40.72°, intensity 19.5

# 5
KU4Pd3Se12: computed powder diffraction line list (λ = 1.5418 Å (Cu Kα)), based on a DFT-relaxed cell (GGA-PBE, Alexandria).
Neutral-atom scattering factors, no anomalous dispersion.

Atomic structure:
```
data_KU4Pd3Se12
_space_group_name_H-M_alt 'I m -3'
_space_group_IT_number 204
_space_group_name_Hall '-I 2 2 3'
_cell_length_a 10.248
_cell_length_b 10.248
_cell_length_c 10.248
_cell_angle_alpha 90.00
_cell_angle_beta 90.00
_cell_angle_gamma 90.00
loop_
_atom_site_label
_atom_site_fract_x
_atom_site_fract_y
_atom_site_fract_z
_atom_site_occupancy
K1 0.000 0.000 0.000 1
U1 0.250 0.250 0.250 1
Pd1 0.000 0.000 0.500 1
Se1 0.000 0.164 0.316 1
```

Principal peaks in the range 10 to 90 degrees two-theta, in order of falling intensity:
- hkl 4 2 2, 43.25°, intensity 100.0
- hkl 2 2 0, 24.57°, intensity 98.5
- hkl 4 0 0, 35.03°, intensity 38.1
- hkl 6 6 0, 79.34°, intensity 36.8
- hkl 2 0 0, 17.31°, intensity 35.9
- hkl 4 0 2, 39.32°, intensity 35.2
- hkl 3 1 0, 27.52°, intensity 30.6
- hkl 6 0 2, 56.82°, intensity 29.3
- hkl 6 4 2, 68.52°, intensity 28.3
- hkl 4 4 0, 50.37°, intensity 16.9
- hkl 3 2 1, 32.70°, intensity 16.1
- hkl 5 0 3, 52.04°, intensity 15.3

Please write out number 3 again, unchanged.
K2PdSe10: computed powder diffraction line list (λ = 1.5418 Å (Cu Kα)), based on a DFT-relaxed cell (GGA-PBE, Alexandria).
Neutral-atom scattering factors, no anomalous dispersion.

Atomic structure:
```
data_K2PdSe10
_space_group_name_H-M_alt 'I -4 2 d'
_space_group_IT_number 122
_space_group_name_Hall 'I -4 2bw'
_cell_length_a 16.453
_cell_length_b 16.453
_cell_length_c 12.520
_cell_angle_alpha 90.00
_cell_angle_beta 90.00
_cell_angle_gamma 90.00
loop_
_atom_site_label
_atom_site_fract_x
_atom_site_fract_y
_atom_site_fract_z
_atom_site_occupancy
K1 0.092 0.105 0.252 1
Pd1 0.000 0.000 0.000 1
Pd2 0.000 0.000 0.500 1
Se1 0.007 0.150 0.009 1
Se2 0.041 0.238 0.530 1
Se3 0.060 0.639 0.759 1
Se4 0.136 0.189 0.942 1
Se5 0.184 0.734 0.335 1
```

Principal peaks in the range 10 to 90 degrees two-theta, in order of falling intensity:
- hkl 1 1 2, 16.08°, intensity 100.0
- hkl 4 3 1, 28.06°, intensity 39.1
- hkl 5 1 2, 31.19°, intensity 33.9
- hkl 0 0 4, 28.52°, intensity 21.9
- hkl 2 0 4, 30.56°, intensity 20.3
- hkl 6 2 2, 37.42°, intensity 16.2
- hkl 3 0 1, 17.66°, intensity 15.7
- hkl 8 2 0, 45.50°, intensity 14.7
- hkl 7 1 2, 41.40°, intensity 12.3
- hkl 3 2 1, 20.72°, intensity 12.1
- hkl 5 4 1, 35.67°, intensity 11.9
- hkl 6 1 1, 33.91°, intensity 11.3

What did the second record say?
KTlSbPd2: computed powder diffraction line list (λ = 1.5418 Å (Cu Kα)), based on a DFT-relaxed cell (GGA-PBE, Alexandria).
Neutral-atom scattering factors, no anomalous dispersion.

Atomic structure:
```
data_KTlSbPd2
_space_group_name_H-M_alt 'P 1 21/m 1'
_space_group_IT_number 11
_cell_length_a 7.548
_cell_length_b 4.808
_cell_length_c 7.595
_cell_angle_alpha 90.00
_cell_angle_beta 97.66
_cell_angle_gamma 90.00
loop_
_space_group_symop_operation_xyz
'x,y,z'
'-x,-y,-z'
'-x,y+1/2,-z'
'x,-y+1/2,z'
loop_
_atom_site_label
_atom_site_fract_x
_atom_site_fract_y
_atom_site_fract_z
_atom_site_occupancy
K1 0.133 0.250 0.355 1
Tl1 0.207 0.750 0.005 1
Sb1 0.376 0.750 0.628 1
Pd1 0.417 0.250 0.056 1
Pd2 0.488 0.750 0.296 1
```

Principal peaks in the range 10 to 90 degrees two-theta, in order of falling intensity:
- hkl 1 0 0, 11.80°, intensity 100.0
- hkl 2 1 1, 33.74°, intensity 46.2
- hkl 0 2 0, 37.41°, intensity 30.2
- hkl 1 1 0, 21.98°, intensity 29.3
- hkl 2 0 -2, 31.39°, intensity 26.2
- hkl 0 0 3, 35.79°, intensity 21.8
- hkl 3 1 1, 43.98°, intensity 21.6
- hkl 1 1 3, 43.81°, intensity 19.7
- hkl 2 1 -2, 36.66°, intensity 18.2
- hkl 2 1 -1, 31.35°, intensity 16.6
- hkl 2 2 -2, 49.62°, intensity 14.3
- hkl 0 2 3, 52.74°, intensity 14.2